Calculated X-ray diffraction stick pattern
Compound: Li3FeH8
Radiation: Cu Kα (λ = 1.5418 Å)
Structure: a structure optimized by DFT (GGA-PBE)
No peak broadening, texture or thermal motion is included.

Main lines, sorted by position (2θ = 10–80°):
20.64 deg, I 36
23.45 deg, I 100
29.90 deg, I 25
36.61 deg, I 53
37.90 deg, I 24
49.37 deg, I 21

Structure:
a = 5.2394 Å, b = 5.2394 Å, c = 5.2394 Å
α = 132.44°, β = 132.44°, γ = 69.54°
Element x y z (fractional)
Li  0.0000  0.0000  0.0000
Li  0.2500  0.7500  0.5000
Li  0.7500  0.2500  0.5000
Fe  0.5000  0.5000  0.0000
H  0.1783  0.1783  0.5652
H  0.1783  0.6131  0.0000
H  0.3869  0.3869  0.5652
H  0.3869  0.8217  0.0000
H  0.6131  0.1783  0.0000
H  0.6131  0.6131  0.4348
H  0.8217  0.3869  0.0000
H  0.8217  0.8217  0.4348